Calculated powder diffraction line list
Compound: LaVH2I4O15
Radiation: Cu Kα (λ = 1.5418 Å)
Structure: a DFT-relaxed cell (GGA+U, Alexandria)
Lines closer than 0.1° are merged.

Structure:
Cell: 7.200 14.396 7.243 Å, 90.00 114.91 90.00°
Space group P2_1 (No. 4)
Symmetry-distinct sites (fractional):
La1 0.079 0.000 0.450
V1 0.432 0.329 0.218
H1 0.087 0.700 0.268
H2 0.308 0.724 0.408
I1 0.147 0.868 0.976
I2 0.262 0.253 0.709
I3 0.266 0.553 0.126
I4 0.469 0.095 0.254
O1 0.061 0.592 0.890
O2 0.075 0.964 0.791
O3 0.078 0.347 0.611
O4 0.081 0.157 0.608
O5 0.218 0.716 0.261
O6 0.232 0.939 0.207
O7 0.256 0.429 0.033
O8 0.258 0.247 0.964
O9 0.282 0.307 0.336
O10 0.297 0.529 0.623
O11 0.384 0.903 0.629
O12 0.385 0.095 0.462
O13 0.401 0.836 0.998
O14 0.404 0.713 0.683
O15 0.488 0.596 0.093

Largest 8 diffraction maxima, in order of rising 2θ, 10 to 90 degrees two-theta:
| two_theta | I_rel |
| --- | --- |
| 18.3 | 65 |
| 23.0 | 70 |
| 23.7 | 61 |
| 24.7 | 100 |
| 25.5 | 47 |
| 25.6 | 92 |
| 26.1 | 59 |
| 28.3 | 59 |